ZnTcN: simulated X-ray diffraction stick pattern (CuKα), based on a PBE-relaxed structure.
Intensities are scaled so that the largest is 100.

Most intense lines, 10° ≤ 2θ ≤ 80°, in order of rising 2θ:
16.3°, rel. 33; 33.0°, rel. 42; 37.2°, rel. 30; 40.2°, rel. 33; 40.4°, rel. 21; 40.9°, rel. 100; 50.5°, rel. 47; 66.3°, rel. 19

Structure:
```
3
Lattice="2.4574 -1.3864 0.0000 2.4574 1.3864 0.0000 -0.0309 0.0000 5.4219" Properties=species:S:1:pos:R:3 pbc="T T T"
Zn 0.0000 0.0000 0.0000
Tc 3.2820 0.0000 2.2102
N 4.8781 0.0000 3.4370
```

---

Tl2SiPtS4: simulated X-ray diffraction stick pattern (CuKα), based on a PBE-relaxed structure.
Intensities are scaled so that the largest is 100.

Most intense lines, 10° ≤ 2θ ≤ 80°, in order of rising 2θ:
15.4°, rel. 100; 23.4°, rel. 52; 24.8°, rel. 35; 29.7°, rel. 60; 29.9°, rel. 69; 35.2°, rel. 31; 46.4°, rel. 47; 46.9°, rel. 26

Structure:
```
16
Lattice="0.0000 7.1671 9.8689 3.3121 0.0000 9.8689 3.3121 7.1671 0.0000" Properties=species:S:1:pos:R:3 pbc="T T T"
Tl 2.4841 5.3753 0.6883
Tl 4.1401 8.9588 5.6228
Tl 2.4841 5.3753 14.1151
Tl 4.1401 8.9588 19.0496
Si 2.4841 5.3753 7.4017
Si 4.1401 8.9588 12.3362
Pt 0.8280 1.7918 2.4672
Pt 5.7961 12.5424 17.2706
S 4.0145 3.9148 6.9014
S 4.0145 6.8359 7.9020
S 5.6706 7.4983 12.8365
S 5.6706 10.4194 11.8358
S 0.9536 3.9148 7.9020
S 0.9536 6.8359 6.9014
S 2.6096 7.4983 11.8358
S 2.6096 10.4194 12.8365
```

---

PrSn2Rh4: simulated X-ray diffraction stick pattern (CuKα), based on a PBE-relaxed structure.
Intensities are scaled so that the largest is 100.

Most intense lines, 10° ≤ 2θ ≤ 80°, in order of rising 2θ:
31.4°, rel. 28; 33.0°, rel. 97; 35.2°, rel. 38; 38.3°, rel. 50; 41.6°, rel. 100; 43.8°, rel. 41; 46.4°, rel. 26; 79.0°, rel. 26

Structure:
```
14
Lattice="8.0647 0.0000 0.0000 0.0000 8.0647 0.0000 0.0000 0.0000 4.1344" Properties=species:S:1:pos:R:3 pbc="T T T"
Pr 0.0000 0.0000 0.0000
Pr 4.0323 4.0323 2.0672
Sn 1.8016 1.8016 2.0672
Sn 2.2307 5.8340 0.0000
Sn 5.8340 2.2307 0.0000
Sn 6.2630 6.2630 2.0672
Rh 0.6524 5.2177 2.0672
Rh 1.1853 3.3800 0.0000
Rh 2.8470 7.4123 2.0672
Rh 3.3800 1.1853 0.0000
Rh 4.6847 6.8794 0.0000
Rh 5.2177 0.6524 2.0672
Rh 6.8794 4.6847 0.0000
Rh 7.4123 2.8470 2.0672
```

---

NaLiNiH4: simulated X-ray diffraction stick pattern (CuKα), based on a PBE-relaxed structure.
Intensities are scaled so that the largest is 100.

Most intense lines, 10° ≤ 2θ ≤ 80°, in order of rising 2θ:
16.1°, rel. 93; 27.6°, rel. 73; 36.2°, rel. 100; 37.6°, rel. 51; 41.2°, rel. 27; 49.5°, rel. 23; 54.3°, rel. 18; 67.0°, rel. 30

Structure:
```
7
Lattice="-1.6897 1.6897 5.4955 1.6897 -1.6897 5.4955 1.6897 1.6897 -5.4955" Properties=species:S:1:pos:R:3 pbc="T T T"
Na 0.0000 0.0000 0.0000
Li 0.0000 0.0000 8.0757
Ni 0.0000 0.0000 3.7636
H 0.0000 0.0000 2.1974
H 1.6897 0.0000 3.7499
H 0.0000 0.0000 5.3817
H 0.0000 1.6897 3.7499
```

---

Na3Tl2Br5: simulated X-ray diffraction stick pattern (CuKα), based on a PBE-relaxed structure.
Intensities are scaled so that the largest is 100.

Most intense lines, 10° ≤ 2θ ≤ 80°, in order of rising 2θ:
11.3°, rel. 48; 25.9°, rel. 62; 27.3°, rel. 100; 29.0°, rel. 54; 29.7°, rel. 51; 37.1°, rel. 28; 40.7°, rel. 28; 41.0°, rel. 27

Structure:
```
10
Lattice="7.9096 -2.2188 0.0000 7.9096 2.2188 0.0000 -6.5923 0.0000 9.2085" Properties=species:S:1:pos:R:3 pbc="T T T"
Na 0.0000 0.0000 0.0000
Na 1.9818 0.0000 5.7351
Na 7.2450 0.0000 3.4734
Tl -2.3628 0.0000 7.0908
Tl 11.5896 0.0000 2.1177
Br 1.0488 0.0000 2.8349
Br 5.9414 0.0000 0.7842
Br 4.6134 0.0000 4.6042
Br 3.2854 0.0000 8.4243
Br 8.1780 0.0000 6.3736
```

---

Y3Sb5O12: simulated X-ray diffraction stick pattern (CuKα), based on a PBE-relaxed structure.
Intensities are scaled so that the largest is 100.

Most intense lines, 10° ≤ 2θ ≤ 80°, in order of rising 2θ:
19.9°, rel. 6; 28.4°, rel. 100; 32.9°, rel. 31; 47.2°, rel. 43; 55.9°, rel. 36; 58.7°, rel. 8; 76.1°, rel. 11; 78.5°, rel. 9

Structure:
```
40
Lattice="-5.4515 5.4515 5.4515 5.4515 -5.4515 5.4515 5.4515 5.4515 -5.4515" Properties=species:S:1:pos:R:3 pbc="T T T"
Y 5.4515 2.7258 0.0000
Y 5.4515 0.0000 2.7258
Y 2.7258 5.4515 0.0000
Y 2.7258 0.0000 5.4515
Y 0.0000 5.4515 2.7258
Y 0.0000 2.7258 5.4515
Sb 2.8008 2.8008 -2.8008
Sb 3.0820 0.0000 0.0000
Sb 2.8008 -2.8008 2.8008
Sb 7.8210 0.0000 0.0000
Sb 0.0000 3.0820 0.0000
Sb 0.0000 0.0000 3.0820
Sb 2.6507 2.6507 2.6507
Sb -2.8008 2.8008 2.8008
Sb 0.0000 7.8210 0.0000
Sb 0.0000 0.0000 7.8210
O 3.7025 1.5096 -1.5096
O 3.7025 -1.5096 1.5096
O 6.5830 1.1017 -1.1017
O 6.5830 -1.1017 1.1017
O 1.5096 3.7025 -1.5096
O 1.5096 -1.5096 3.7025
O 4.3201 1.1017 1.1017
O 7.2005 1.5096 1.5096
O 4.3498 4.3498 -1.1315
O 4.3498 -1.1315 4.3498
O -1.5096 3.7025 1.5096
O -1.5096 1.5096 3.7025
O 1.1017 4.3201 1.1017
O 1.1017 1.1017 4.3201
O 1.1017 6.5830 -1.1017
O 1.1017 -1.1017 6.5830
O 3.9419 3.9419 1.7490
O 3.9419 1.7490 3.9419
O -1.1017 6.5830 1.1017
O -1.1017 1.1017 6.5830
O 1.7490 3.9419 3.9419
O -1.1315 4.3498 4.3498
O 1.5096 7.2005 1.5096
O 1.5096 1.5096 7.2005
```

---

Sc5Bi2C2: simulated X-ray diffraction stick pattern (CuKα), based on a PBE-relaxed structure.
Intensities are scaled so that the largest is 100.

Most intense lines, 10° ≤ 2θ ≤ 80°, in order of rising 2θ:
20.7°, rel. 76; 25.3°, rel. 77; 26.1°, rel. 42; 29.5°, rel. 57; 31.5°, rel. 100; 34.6°, rel. 85; 35.5°, rel. 47; 39.2°, rel. 44

Structure:
```
9
Lattice="6.1642 -2.2971 0.0000 6.1642 2.2971 0.0000 -1.7933 0.0000 6.9936" Properties=species:S:1:pos:R:3 pbc="T T T"
Sc 0.0000 0.0000 0.0000
Sc 0.6715 0.0000 4.2703
Sc 4.0072 0.0000 0.4010
Sc 6.5278 0.0000 6.5927
Sc 9.8635 0.0000 2.7234
Bi 3.8214 0.0000 4.7561
Bi 6.7136 0.0000 2.2375
C 0.3324 0.0000 6.3177
C 10.2026 0.0000 0.6760
```

---

KSO2F: simulated X-ray diffraction stick pattern (CuKα), based on a PBE-relaxed structure.
Intensities are scaled so that the largest is 100.

Most intense lines, 10° ≤ 2θ ≤ 80°, in order of rising 2θ:
19.7°, rel. 10; 25.2°, rel. 100; 26.1°, rel. 36; 30.5°, rel. 39; 31.1°, rel. 14; 31.4°, rel. 19; 37.8°, rel. 24; 41.7°, rel. 36

Structure:
```
10
Lattice="4.7587 0.0000 0.0000 0.0000 5.7545 0.0000 -2.3469 0.0000 6.8220" Properties=species:S:1:pos:R:3 pbc="T T T"
K -0.0120 0.0000 2.0294
K 2.4237 2.8773 4.7926
S 0.2043 5.6462 5.7003
S 2.2075 2.7689 1.1217
O 0.7883 2.9472 0.7509
O 0.0255 4.5664 4.7036
O 2.3862 1.6891 2.1184
O 1.6235 0.0700 6.0711
F 0.0057 1.3468 4.5808
F 2.4060 4.2241 2.2412
```

---

SnHgS3: simulated X-ray diffraction stick pattern (CuKα), based on a PBE-relaxed structure.
Intensities are scaled so that the largest is 100.

Most intense lines, 10° ≤ 2θ ≤ 80°, in order of rising 2θ:
16.5°, rel. 77; 18.7°, rel. 99; 26.5°, rel. 69; 27.7°, rel. 100; 28.3°, rel. 58; 29.8°, rel. 90; 43.7°, rel. 61; 45.9°, rel. 61

Structure:
```
10
Lattice="6.9392 0.0000 0.0000 0.0000 3.8594 0.0000 -0.8829 0.0000 9.5116" Properties=species:S:1:pos:R:3 pbc="T T T"
Sn 0.4634 0.9649 1.5506
Sn 5.5929 2.8946 7.9610
Hg 2.0896 0.9649 6.6022
Hg 3.9666 2.8946 2.9094
S -0.3531 0.9649 6.5025
S 1.5322 2.8946 0.0905
S 2.3726 0.9649 3.2384
S 3.6836 2.8946 6.2732
S 4.5240 0.9649 9.4211
S 6.4093 2.8946 3.0091
```

---

PaB2TeO8: simulated X-ray diffraction stick pattern (CuKα), based on a PBE-relaxed structure.
Intensities are scaled so that the largest is 100.

Most intense lines, 10° ≤ 2θ ≤ 80°, in order of rising 2θ:
20.5°, rel. 78; 23.9°, rel. 100; 28.5°, rel. 92; 33.8°, rel. 32; 34.4°, rel. 26; 34.7°, rel. 57; 39.8°, rel. 33; 44.1°, rel. 34

Structure:
```
12
Lattice="4.5875 -2.6521 0.0000 4.5875 2.6521 0.0000 -1.7669 0.0000 5.1166" Properties=species:S:1:pos:R:3 pbc="T T T"
Pa 0.0000 0.0000 0.0000
B 0.7064 0.0000 3.3374
B 6.7018 0.0000 1.7792
Te 3.7041 0.0000 2.5583
O 2.9251 1.4848 1.2592
O 0.7410 0.0000 1.8906
O 4.4831 1.4848 3.8574
O 2.0821 0.0000 3.8946
O 5.3261 0.0000 1.2221
O 2.9251 -1.4848 1.2592
O 6.6672 0.0000 3.2260
O 4.4831 -1.4848 3.8574
```

---

FeRu2Rh6: simulated X-ray diffraction stick pattern (CuKα), based on a PBE-relaxed structure.
Intensities are scaled so that the largest is 100.

Most intense lines, 10° ≤ 2θ ≤ 80°, in order of rising 2θ:
39.5°, rel. 57; 40.1°, rel. 64; 40.5°, rel. 52; 43.5°, rel. 100; 47.0°, rel. 34; 52.0°, rel. 25; 73.3°, rel. 21; 75.2°, rel. 19

Structure:
```
9
Lattice="2.3605 -6.7477 0.0000 2.3605 6.7477 0.0000 -2.3046 0.0000 4.0180" Properties=species:S:1:pos:R:3 pbc="T T T"
Fe 0.0000 0.0000 0.0000
Ru 1.2082 4.4385 2.0090
Ru 1.2082 -4.4385 2.0090
Rh 1.1866 2.2158 0.6396
Rh -0.0298 0.0000 2.6183
Rh 1.1866 -2.2158 0.6396
Rh 1.2298 2.2158 3.3784
Rh 2.4462 0.0000 1.3997
Rh 1.2298 -2.2158 3.3784
```

---

AcLa2PrHo4: simulated X-ray diffraction stick pattern (CuKα), based on a PBE-relaxed structure.
Intensities are scaled so that the largest is 100.

Most intense lines, 10° ≤ 2θ ≤ 80°, in order of rising 2θ:
29.9°, rel. 100; 34.0°, rel. 36; 35.9°, rel. 15; 50.3°, rel. 24; 58.3°, rel. 19; 58.4°, rel. 11; 60.9°, rel. 10; 62.1°, rel. 9

Structure:
```
16
Lattice="7.4472 0.0000 0.0000 0.0126 7.4653 0.0000 0.0094 0.0009 9.9948" Properties=species:S:1:pos:R:3 pbc="T T T"
Ac 0.0000 0.0000 0.0000
Ac 0.0112 3.7257 5.0004
La 0.0175 3.7336 9.9939
La 3.7318 3.7255 0.0027
La 3.7347 3.7340 4.9967
La 3.7362 7.4574 0.0033
Pr 0.0190 7.4583 4.9996
Pr 3.7424 7.4642 4.9961
Ho 1.8947 1.8544 2.5070
Ho 1.9027 1.8541 7.4901
Ho 1.9015 5.6041 2.5063
Ho 1.9086 5.6053 7.4895
Ho 5.5661 1.8535 7.4901
Ho 5.5728 5.6047 7.4902
Ho 5.5655 1.8539 2.5080
Ho 5.5722 5.6037 2.5065
```